(1)
The following is a computed powder diffractogram of FeNi2C. It was derived from a structure optimized by DFT (GGA-PBE), using a wavelength of 1.5418 Å.
Lines closer than 0.1° are merged.

Principal peaks in the range 2θ = 5–70°, sorted by position:
| Position (°2θ) | Rel. int. | hkl |
| --- | --- | --- |
| 37.8 | 14.5 | 1 2 1 |
| 38.3 | 18.5 | 2 1 0 |
| 40.6 | 15.4 | 0 0 2 |
| 41.4 | 14.6 | 2 0 1 |
| 43.5 | 35.1 | 2 1 1 |
| 44.6 | 33.2 | 1 0 2 |
| 44.9 | 100.0 | 0 3 1 |
| 46.7 | 29.0 | 1 1 2 |
| 48.6 | 20.9 | 1 3 1 |
| 49.6 | 27.5 | 2 2 1 |

Cell and atoms:
```
data_FeNi2C
_cell_length_a 5.0122
_cell_length_b 6.8020
_cell_length_c 4.4448
_cell_angle_alpha 90.00
_cell_angle_beta 90.00
_cell_angle_gamma 90.00
_space_group_name_H-M_alt 'P n m a'
_space_group_IT_number 62
_space_group_name_Hall '-P 2ac 2n'
loop_
_atom_site_label
_atom_site_type_symbol
_atom_site_fract_x
_atom_site_fract_y
_atom_site_fract_z
Fe1 Fe 0.0393 0.2500 0.1637
Ni1 Ni 0.1772 0.0733 0.6700
C1 C 0.1231 0.7500 0.4459
```


(2)
The following is a computed powder diffractogram of Ta4FeNiC2. It was derived from a structure optimized by DFT (GGA-PBE), using a wavelength of 1.5418 Å.
Lines closer than 0.1° are merged.

Principal peaks in the range 2θ = 5–70°, sorted by position:
| Position (°2θ) | Rel. int. | hkl |
| --- | --- | --- |
| 13.6 | 8.2 | 0 0 2 |
| 27.4 | 14.9 | 0 0 4 |
| 33.6 | 25.2 | 1 0 0 |
| 34.3 | 18.7 | 1 0 1 |
| 39.6 | 100.0 | 1 0 3 |
| 41.5 | 14.9 | 0 0 6 |
| 43.8 | 8.6 | 1 0 4 |
| 54.4 | 11.7 | 1 0 6 |
| 60.0 | 21.9 | 1 1 0 |
| 60.6 | 13.1 | 1 0 7 |

Cell and atoms:
```
data_Ta4FeNiC2
_cell_length_a 3.0820
_cell_length_b 3.0820
_cell_length_c 13.0417
_cell_angle_alpha 90.00
_cell_angle_beta 90.00
_cell_angle_gamma 120.00
_space_group_name_H-M_alt 'P -6 m 2'
_space_group_IT_number 187
_space_group_name_Hall 'P -6 2'
loop_
_atom_site_label
_atom_site_type_symbol
_atom_site_fract_x
_atom_site_fract_y
_atom_site_fract_z
Ta1 Ta 0.0000 0.0000 0.1509
Ta2 Ta 0.3333 0.6667 0.3474
Fe1 Fe 0.3333 0.6667 0.0000
Ni1 Ni 0.0000 0.0000 0.5000
C1 C 0.6667 0.3333 0.2500
```